For Zr12HgPb3, a GGA-PBE-relaxed structure gives the theoretical PXRD pattern in this record (Cu Ka).
Intensities are scaled so that the largest is 100.

Principal peaks in the range 10 to 80 degrees two-theta, most intense first:
| 2θ/deg | intensity | h k l |
| --- | --- | --- |
| 38.90 | 100.0 | 2 1 2 |
| 61.15 | 53.4 | 2 3 2 |
| 35.39 | 50.8 | 2 1 0 |
| 31.55 | 43.9 | 2 0 0 |
| 22.17 | 27.0 | 1 1 0 |
| 74.89 | 14.9 | 4 2 0 |
| 65.88 | 13.8 | 4 0 0 |
| 79.23 | 12.9 | 2 3 6 |
| 58.70 | 11.3 | 0 3 4 |
| 77.07 | 9.8 | 2 4 2 |

Structural model:
a b c (Å): 5.6671 5.6719 11.3464
angles (deg): 90.00 90.00 90.00
Atoms (fractional coordinates):
Zr (0.0000, 0.0000, 0.1215)
Zr (0.0000, 0.0000, 0.3730)
Zr (0.0000, 0.0000, 0.6270)
Zr (0.0000, 0.0000, 0.8785)
Zr (0.2501, 0.5000, 0.5000)
Zr (0.2529, 0.5000, 0.0000)
Zr (0.5000, 0.2481, 0.2475)
Zr (0.5000, 0.2481, 0.7525)
Zr (0.5000, 0.7519, 0.2475)
Zr (0.5000, 0.7519, 0.7525)
Zr (0.7471, 0.5000, 0.0000)
Zr (0.7499, 0.5000, 0.5000)
Hg (0.5000, 0.0000, 0.0000)
Pb (0.0000, 0.5000, 0.2509)
Pb (0.0000, 0.5000, 0.7491)
Pb (0.5000, 0.0000, 0.5000)